Calculated powder diffractogram
Compound: Na4MgMo2O8
Radiation: Cu Kα X-rays
Structure: a crystal structure in the Materials Project, relaxed with GGA+U

Top 12 peaks for 10° ≤ 2θ ≤ 80°, by angle:
18.07 deg, intensity 1000
21.12 deg, intensity 775
27.40 deg, intensity 670
28.46 deg, intensity 933
29.04 deg, intensity 455
33.02 deg, intensity 677
43.01 deg, intensity 373
45.94 deg, intensity 575
46.33 deg, intensity 383
51.77 deg, intensity 180
54.05 deg, intensity 277
69.27 deg, intensity 201

Cell and atoms:
Unit cell a=8.429 b=6.853 c=6.509 alpha=78.18 beta=52.72 gamma=49.09
Fractional coordinates of all 15 atoms:
Na  0.178  0.822  0.178
Na  0.511  0.989  0.511
Na  0.822  0.178  0.822
Na  0.989  0.511  0.989
Mg  0.750  0.750  0.750
Mo  0.250  0.250  0.250
Mo  0.500  0.500  0.500
O  0.009  0.621  0.296
O  0.074  0.296  0.621
O  0.162  0.653  0.625
O  0.296  0.074  0.009
O  0.560  0.625  0.653
O  0.621  0.009  0.074
O  0.625  0.560  0.162
O  0.653  0.162  0.560